No. 1
Structure and theoretical powder XRD pattern of PaCl5 (DFT lattice parameters and positions (PBE); Cu Kα, 1.54184 Å).
Lines closer than 0.1° are merged.

Peak list (10 most intense, 10 to 90 degrees two-theta, low angle first)
2θ/deg	d (Å)	I_rel
12.7	6.947	100
14.4	6.157	21
14.9	5.956	17
18.0	4.925	24
21.1	4.206	22
21.7	4.103	17
22.7	3.911	21
31.0	2.883	20
32.8	2.734	18
44.1	2.052	12

Structure:
```
12
Lattice="4.350 -6.157 0.000 4.350 6.157 0.000 -2.162 0.000 8.206" Properties=species:S:1:pos:R:3 pbc="T T T"
Pa 2.729 5.340 6.154
Pa 3.809 -5.340 2.051
Cl 4.198 4.669 0.522
Cl 3.421 4.669 3.581
Cl 1.862 0.714 2.689
Cl 2.729 2.831 6.154
Cl 0.781 -0.714 6.792
Cl 5.757 0.714 1.414
Cl 3.809 -2.831 2.051
Cl 4.676 -0.714 5.517
Cl 3.117 -4.669 4.625
Cl 2.340 -4.669 7.684
```

***

No. 2
Structure and theoretical powder XRD pattern of Er5Co2Hg2 (DFT lattice parameters and positions (PBE); Cu Kα, 1.54184 Å).
Lines closer than 0.1° are merged.

Peak list (10 most intense, 10 to 90 degrees two-theta, low angle first)
2θ/deg	d (Å)	I_rel
27.6	3.229	27
32.2	2.777	38
32.9	2.718	63
33.2	2.696	99
33.4	2.680	100
35.0	2.561	76
35.7	2.515	56
39.5	2.280	65
39.9	2.258	34
61.5	1.507	38

Structure:
```
18
Lattice="8.018 -3.603 0.000 8.018 3.603 0.000 0.000 0.000 7.284" Properties=species:S:1:pos:R:3 pbc="T T T"
Er 0.000 0.000 0.000
Er 6.080 2.293 4.956
Er 6.080 1.310 1.314
Er 9.956 2.293 4.956
Er 9.956 1.310 1.314
Er 8.018 0.000 3.642
Er 6.080 -1.310 5.970
Er 6.080 -2.293 2.328
Er 9.956 -1.310 5.970
Er 9.956 -2.293 2.328
Co 8.018 2.813 2.823
Co 8.018 0.790 6.465
Co 8.018 -0.790 0.819
Co 8.018 -2.813 4.462
Hg 3.539 0.000 0.000
Hg 4.479 0.000 3.642
Hg 11.557 0.000 3.642
Hg 12.497 0.000 0.000
```